[1]
The following is a calculated powder diffractogram of DyY3S4. It was derived from the GGA-PBE geometry in Alexandria, using Cu Ka.
Lines closer than 0.1° are merged.

Most intense lines, 2θ from 10° to 90°, in order of rising 2θ:
- 27.8°, intensity 27
- 28.0°, intensity 26
- 32.3°, intensity 100
- 46.1°, intensity 12
- 46.4°, intensity 47
- 46.7°, intensity 11
- 54.8°, intensity 9
- 55.2°, intensity 8
- 57.4°, intensity 12
- 58.0°, intensity 12
- 67.7°, intensity 11
- 77.0°, intensity 20

Cell and atoms:
```
DyY3S4
1.0
3.9410 -5.5399 0.0000
3.9410 5.5399 0.0000
0.0000 0.0000 3.8870
Dy Y S
1 3 4
Direct
0.0000 0.0000 0.0000
0.0000 0.5000 0.5000
0.5000 0.0000 0.5000
0.5000 0.5000 0.0000
0.2493 0.2493 0.5000
0.2496 0.7504 0.0000
0.7504 0.2496 0.0000
0.7507 0.7507 0.5000
```


[2]
The following is a calculated powder diffractogram of Ca5LaPb6. It was derived from the GGA-PBE geometry in Alexandria, using Cu Ka.
Lines closer than 0.1° are merged.

Most intense lines, 2θ from 10° to 90°, in order of rising 2θ:
- 19.4°, intensity 24
- 24.4°, intensity 28
- 31.3°, intensity 100
- 34.6°, intensity 19
- 34.9°, intensity 19
- 39.3°, intensity 14
- 50.0°, intensity 14
- 53.4°, intensity 11
- 53.6°, intensity 11
- 60.0°, intensity 16
- 60.4°, intensity 16
- 65.4°, intensity 12

Cell and atoms:
```
Ca5LaPb6
1.0
8.1837 -4.5803 0.0000
8.1837 4.5803 0.0000
-1.6022 0.0000 4.8788
Ca La Pb
5 1 6
Direct
0.0000 0.0000 0.0000
0.1663 0.1663 0.6661
0.3286 0.3286 0.3284
0.6714 0.6714 0.6716
0.8337 0.8337 0.3339
0.5000 0.5000 0.0000
0.0830 0.5829 0.8332
0.2496 0.7504 0.5000
0.4171 0.9170 0.1668
0.5829 0.0830 0.8332
0.7504 0.2496 0.5000
0.9170 0.4171 0.1668
```


[3]
The following is a calculated powder diffractogram of CaTi2Si2. It was derived from the GGA-PBE geometry in Alexandria, using Cu Ka.
Lines closer than 0.1° are merged.

Most intense lines, 2θ from 10° to 90°, in order of rising 2θ:
- 27.4°, intensity 11
- 34.9°, intensity 12
- 36.6°, intensity 43
- 38.7°, intensity 100
- 39.2°, intensity 53
- 51.9°, intensity 10
- 55.0°, intensity 13
- 59.3°, intensity 9
- 60.8°, intensity 12
- 69.6°, intensity 18
- 72.1°, intensity 12
- 76.1°, intensity 11

Cell and atoms:
```
CaTi2Si2
1.0
7.2664 0.0000 0.0000
0.0000 7.2664 0.0000
0.0000 0.0000 3.3383
Ca Ti Si
2 4 4
Direct
0.0000 0.0000 0.0000
0.5000 0.5000 0.0000
0.1673 0.3327 0.5000
0.3327 0.8327 0.5000
0.6673 0.1673 0.5000
0.8327 0.6673 0.5000
0.1203 0.6203 0.0000
0.3797 0.1203 0.0000
0.6203 0.8797 0.0000
0.8797 0.3797 0.0000
```